Nd3Th8: calculated XRD peak list (Cu Kα X-rays), based on the PBE geometry in Alexandria.

Cell and atoms:
Cell: 32.3834 32.3834 32.3834 Å, 6.35 6.35 6.35°
Atoms (fractional coordinates):
Nd: 0.0000 0.0000 0.0000
Nd: 0.2723 0.2723 0.2723
Nd: 0.7277 0.7277 0.7277
Th: 0.0921 0.0921 0.0921
Th: 0.1816 0.1816 0.1816
Th: 0.3638 0.3638 0.3638
Th: 0.4551 0.4551 0.4551
Th: 0.5449 0.5449 0.5449
Th: 0.6362 0.6362 0.6362
Th: 0.8184 0.8184 0.8184
Th: 0.9079 0.9079 0.9079

Main lines, by angle (2θ = 10–90°):
30.48 deg, I 100
35.34 deg, I 51
50.84 deg, I 37
60.37 deg, I 11
60.46 deg, I 33
63.47 deg, I 10
74.75 deg, I 6
82.91 deg, I 9
85.41 deg, I 8
85.55 deg, I 9